Record 1
Structure and simulated X-ray diffraction stick pattern of MgTe4Pb6Br4O12 (a DFT-relaxed cell (GGA-PBE, Alexandria); Cu Kα).
Neutral-atom scattering factors, no anomalous dispersion.

```
data_MgTe4Pb6Br4O12
_chemical_formula_sum 'Mg2 Te8 Pb12 Br8 O24'
_space_group_name_H-M_alt 'C 1 2 1'
_space_group_IT_number 5
_cell_length_a 18.0516
_cell_length_b 5.8619
_cell_length_c 11.4285
_cell_angle_alpha 90.00
_cell_angle_beta 107.34
_cell_angle_gamma 90.00
loop_
_space_group_symop_operation_xyz
'x,y,z'
'-x,y,-z'
'x+1/2,y+1/2,z'
'-x+1/2,y+1/2,-z'
loop_
_atom_site_label
_atom_site_fract_x
_atom_site_fract_y
_atom_site_fract_z
Mg1 0.0000 0.0000 0.0000
Te1 0.0979 0.1567 0.5527
Te2 0.1299 0.6389 0.0790
Pb1 0.0323 0.6498 0.6975
Pb2 0.1757 0.1807 0.9012
Pb3 0.2487 0.1815 0.2921
Br1 0.0432 0.1813 0.2119
Br2 0.1863 0.6321 0.3943
O1 0.0000 0.3727 0.5000
O2 0.0000 0.9528 0.5000
O3 0.1151 0.5833 0.9081
O4 0.1289 0.3778 0.6865
O5 0.1318 0.9137 0.6767
O6 0.2072 0.8760 0.1060
O7 0.2155 0.4015 0.1103
```

Largest 10 diffraction maxima, by angle, 10 to 90 degrees two-theta:
- 2θ 11.03, I = 21.2, (2 0 -1)
- 2θ 23.95, I = 23.4, (1 1 2)
- 2θ 28.02, I = 84.0, (1 1 -3)
- 2θ 29.05, I = 100.0, (5 1 -1)
- 2θ 30.02, I = 31.6, (4 0 2)
- 2θ 30.50, I = 37.6, (0 2 0)
- 2θ 43.33, I = 31.4, (4 2 2)
- 2θ 49.59, I = 16.3, (6 2 -4)
- 2θ 52.69, I = 15.5, (1 3 -3)
- 2θ 53.32, I = 30.5, (5 3 -1)

=====

Record 2
Structure and simulated X-ray diffraction stick pattern of PrNi4 (a DFT-relaxed cell (GGA-PBE, Alexandria); Cu Kα).
Neutral-atom scattering factors, no anomalous dispersion.

```
data_PrNi4
_chemical_formula_sum 'Pr8 Ni32'
_space_group_name_H-M_alt 'I -4 3 m'
_space_group_IT_number 217
_space_group_name_Hall 'I -4 2 3'
_cell_length_a 8.4809
_cell_length_b 8.4809
_cell_length_c 8.4809
_cell_angle_alpha 90.00
_cell_angle_beta 90.00
_cell_angle_gamma 90.00
loop_
_atom_site_label
_atom_site_fract_x
_atom_site_fract_y
_atom_site_fract_z
Pr1 0.2250 0.2250 0.7750
Ni1 0.0000 0.0000 0.3544
Ni2 0.0000 0.2500 0.5000
Ni3 0.0976 0.0976 0.0976
```

Largest 10 diffraction maxima, by angle, 10 to 90 degrees two-theta:
- 2θ 29.80, I = 60.4, (2 2 0)
- 2θ 36.71, I = 100.0, (2 2 2)
- 2θ 39.77, I = 53.1, (3 2 1)
- 2θ 42.64, I = 31.6, (4 0 0)
- 2θ 45.37, I = 81.2, (4 1 1)
- 2θ 47.97, I = 21.9, (4 2 0)
- 2θ 55.23, I = 18.2, (4 3 1)
- 2θ 61.89, I = 21.3, (4 4 0)
- 2θ 68.16, I = 31.1, (6 1 1)
- 2θ 74.17, I = 18.3, (6 2 2)

=====

Record 3
Structure and simulated X-ray diffraction stick pattern of ZrCo2Pd2 (a DFT-relaxed cell (GGA-PBE, Alexandria); Cu Kα).
Neutral-atom scattering factors, no anomalous dispersion.

```
data_ZrCo2Pd2
_chemical_formula_sum 'Zr2 Co4 Pd4'
_space_group_name_H-M_alt 'I 4/m m m'
_space_group_IT_number 139
_space_group_name_Hall '-I 4 2'
_cell_length_a 3.4614
_cell_length_b 3.4614
_cell_length_c 13.2787
_cell_angle_alpha 90.00
_cell_angle_beta 90.00
_cell_angle_gamma 90.00
loop_
_atom_site_label
_atom_site_fract_x
_atom_site_fract_y
_atom_site_fract_z
Zr1 0.0000 0.0000 0.0000
Co1 0.0000 0.5000 0.2500
Pd1 0.0000 0.0000 0.3975
```

Largest 10 diffraction maxima, by angle, 10 to 90 degrees two-theta:
- 2θ 26.61, I = 23.6, (1 0 1)
- 2θ 32.85, I = 61.2, (1 0 3)
- 2θ 36.72, I = 26.8, (1 1 0)
- 2θ 39.23, I = 100.0, (1 1 2)
- 2θ 42.92, I = 95.6, (1 0 5)
- 2θ 46.07, I = 36.9, (1 1 4)
- 2θ 52.90, I = 49.8, (2 0 0)
- 2θ 63.69, I = 17.3, (2 1 3)
- 2θ 70.40, I = 42.4, (2 1 5)
- 2θ 82.68, I = 25.6, (1 1 10)

=====

Record 4
Structure and simulated X-ray diffraction stick pattern of Pm6Dy12In (a DFT-relaxed cell (GGA-PBE, Alexandria); Cu Kα).
Neutral-atom scattering factors, no anomalous dispersion.

```
data_Pm6Dy12In
_chemical_formula_sum 'Pm18 Dy36 In3'
_space_group_name_H-M_alt 'R -3'
_space_group_IT_number 148
_space_group_name_Hall '-R 3'
_cell_length_a 11.9190
_cell_length_b 11.9190
_cell_length_c 14.9945
_cell_angle_alpha 90.00
_cell_angle_beta 90.00
_cell_angle_gamma 120.00
loop_
_atom_site_label
_atom_site_fract_x
_atom_site_fract_y
_atom_site_fract_z
Pm1 0.0142 0.5904 0.1831
Dy1 0.0012 0.1733 0.6865
Dy2 0.0451 0.1938 0.9159
In1 0.0000 0.0000 0.5000
```

Largest 10 diffraction maxima, by angle, 10 to 90 degrees two-theta:
- 2θ 23.56, I = 14.8, (3 -1 1)
- 2θ 31.05, I = 41.7, (0 1 5)
- 2θ 31.57, I = 27.8, (0 3 3)
- 2θ 31.82, I = 100.0, (4 -3 1)
- 2θ 33.14, I = 71.5, (2 1 4)
- 2θ 33.51, I = 26.8, (3 1 2)
- 2θ 35.06, I = 18.6, (4 -2 3)
- 2θ 45.30, I = 15.1, (3 2 4)
- 2θ 55.58, I = 18.5, (2 5 0)
- 2θ 58.53, I = 11.8, (1 5 5)